The following is a simulated powder diffractogram of Li4TiCr5O12. It was derived from a structure optimized by DFT (GGA+U), using Cu Kα (λ = 1.5418 Å).
Kinematic intensities with the Lorentz-polarization factor, no thermal factor.

Lattice parameters (Å, degrees): 5.130 8.857 10.157 90.00 96.77 90.00
Space group C2/m (No. 12)
Unique sites:
Li  0.123  0.175  0.257 [8 per cell]
Ti  0.000  0.000  0.500 [2 per cell]
Cr  0.000  0.168  0.000 [4 per cell]
Cr  0.000  0.335  0.500 [4 per cell]
Cr  0.000  0.500  0.000 [2 per cell]
O  0.137  0.000  0.902 [4 per cell]
O  0.144  0.329  0.894 [8 per cell]
O  0.185  0.168  0.605 [8 per cell]
O  0.206  0.500  0.606 [4 per cell]

The 8 most intense peaks (2θ from 5° to 70°), low angle first:
2θ (°)  d/Å  I/Imax  index
17.59  5.043  100  0 0 2
35.75  2.512  15  1 3 -1
36.80  2.442  13  1 3 1
41.56  2.173  9  2 0 2
43.19  2.095  15  1 3 -3
45.87  1.978  17  1 3 3
56.42  1.631  11  1 3 -5
62.86  1.478  10  3 3 -1